Record 1
Li2Mn2Si5O13: theoretical powder XRD pattern (Cu Kα X-rays), based on a PBE+U-relaxed structure.

Main lines, by angle (2θ from 5° to 70°):
- 2θ = 9.50°, I 71.0, hkl 0 0 1
- 2θ = 15.25°, I 29.8, hkl 0 1 -1
- 2θ = 23.83°, I 83.2, hkl 2 1 1
- 2θ = 23.93°, I 94.3, hkl 0 2 0
- 2θ = 28.66°, I 82.4, hkl 2 2 1
- 2θ = 30.66°, I 100.0, hkl 2 -1 1
- 2θ = 30.82°, I 35.9, hkl 0 2 -2
- 2θ = 31.21°, I 47.6, hkl 0 1 3
- 2θ = 31.27°, I 73.7, hkl 0 1 -3
- 2θ = 40.60°, I 29.4, hkl 0 1 4

Cell and atoms:
Lattice parameters (Å, degrees): 7.598 7.817 10.009 83.36 68.39 72.10
Space group P-1 (No. 2)
Unique sites:
Li (0.154, 0.401, 0.244) (multiplicity 2)
Li (0.210, 0.071, 0.347) (multiplicity 2)
Mn (0.040, 0.159, 0.100) (multiplicity 2)
Mn (0.419, 0.825, 0.900) (multiplicity 2)
Si (0.160, 0.221, 0.758) (multiplicity 2)
Si (0.210, 0.695, 0.542) (multiplicity 2)
Si (0.251, 0.758, 0.233) (multiplicity 2)
Si (0.311, 0.447, 0.908) (multiplicity 2)
Si (0.376, 0.295, 0.453) (multiplicity 2)
O (0.015, 0.770, 0.679) (multiplicity 2)
O (0.065, 0.681, 0.248) (multiplicity 2)
O (0.168, 0.052, 0.868) (multiplicity 2)
O (0.209, 0.826, 0.397) (multiplicity 2)
O (0.214, 0.387, 0.803) (multiplicity 2)
O (0.220, 0.497, 0.494) (multiplicity 2)
O (0.223, 0.664, 0.928) (multiplicity 2)
O (0.273, 0.927, 0.126) (multiplicity 2)
O (0.283, 0.318, 0.049) (multiplicity 2)
O (0.305, 0.163, 0.591) (multiplicity 2)
O (0.371, 0.221, 0.311) (multiplicity 2)
O (0.406, 0.691, 0.572) (multiplicity 2)
O (0.448, 0.587, 0.184) (multiplicity 2)

Record 2
Li4Ti3Fe3Ni2O16: theoretical powder XRD pattern (Cu Kα X-rays), based on a PBE+U-relaxed structure.

Main lines, by angle (2θ from 5° to 70°):
- 2θ = 18.38°, I 93.6, hkl 0 0 2
- 2θ = 19.56°, I 100.0, hkl 2 0 -1
- 2θ = 19.66°, I 79.6, hkl 1 1 1
- 2θ = 32.96°, I 34.8, hkl 2 0 3
- 2θ = 35.47°, I 40.2, hkl 3 1 -2
- 2θ = 35.58°, I 36.6, hkl 0 2 2
- 2θ = 36.22°, I 40.9, hkl 2 2 -1
- 2θ = 36.33°, I 38.9, hkl 2 2 1
- 2θ = 45.10°, I 51.8, hkl 2 2 -3
- 2θ = 62.82°, I 70.7, hkl 0 4 0

Cell and atoms:
Lattice parameters (Å, degrees): 10.244 5.920 9.654 90.00 90.52 90.00
Space group Cm (No. 8)
Unique sites:
Li (0.000, 0.000, 0.000) (multiplicity 2)
Li (0.000, 0.000, 0.499) (multiplicity 2)
Li (0.160, 0.500, 0.894) (multiplicity 2)
Li (0.326, 0.000, 0.391) (multiplicity 2)
Ti (0.324, 0.500, 0.217) (multiplicity 2)
Ti (0.409, 0.247, 0.716) (multiplicity 4)
Fe (0.079, 0.254, 0.215) (multiplicity 4)
Fe (0.163, 0.000, 0.715) (multiplicity 2)
Ni (0.161, 0.500, 0.491) (multiplicity 2)
Ni (0.330, 0.000, 0.991) (multiplicity 2)
O (0.013, 0.500, 0.332) (multiplicity 2)
O (0.077, 0.238, 0.608) (multiplicity 4)
O (0.157, 0.000, 0.109) (multiplicity 2)
O (0.170, 0.500, 0.100) (multiplicity 2)
O (0.233, 0.276, 0.334) (multiplicity 4)
O (0.253, 0.221, 0.834) (multiplicity 4)
O (0.334, 0.500, 0.605) (multiplicity 2)
O (0.336, 0.000, 0.602) (multiplicity 2)
O (0.418, 0.258, 0.106) (multiplicity 4)
O (0.476, 0.000, 0.834) (multiplicity 2)
O (0.489, 0.500, 0.315) (multiplicity 2)
O (0.490, 0.500, 0.816) (multiplicity 2)

Record 3
Li3Mn3O3F5: theoretical powder XRD pattern (Cu Kα X-rays), based on a PBE+U-relaxed structure.

Main lines, by angle (2θ from 5° to 70°):
- 2θ = 17.37°, I 22.3, hkl 0 0 1
- 2θ = 17.70°, I 100.0, hkl 2 0 -1
- 2θ = 18.06°, I 26.5, hkl 1 1 0
- 2θ = 32.76°, I 21.8, hkl 2 0 1
- 2θ = 33.32°, I 11.6, hkl 4 0 -1
- 2θ = 35.41°, I 32.6, hkl 0 2 1
- 2θ = 39.69°, I 40.6, hkl 4 0 0
- 2θ = 42.91°, I 60.4, hkl 2 2 -2
- 2θ = 59.41°, I 22.5, hkl 2 2 2
- 2θ = 60.33°, I 20.0, hkl 6 2 -2

Cell and atoms:
Lattice parameters (Å, degrees): 10.835 5.840 6.091 90.00 123.03 90.00
Space group Cm (No. 8)
Unique sites:
Li (0.000, 0.000, 0.000) (multiplicity 2)
Li (0.114, 0.500, 0.330) (multiplicity 2)
Li (0.346, 0.000, 0.604) (multiplicity 2)
Mn (0.235, 0.241, 0.992) (multiplicity 4)
Mn (0.484, 0.500, 0.484) (multiplicity 2)
O (0.219, 0.000, 0.762) (multiplicity 2)
O (0.228, 0.000, 0.197) (multiplicity 2)
O (0.250, 0.500, 0.207) (multiplicity 2)
F (0.236, 0.500, 0.761) (multiplicity 2)
F (0.483, 0.258, 0.214) (multiplicity 4)
F (0.484, 0.253, 0.745) (multiplicity 4)

Record 4
MnNi3O4: theoretical powder XRD pattern (Cu Kα X-rays), based on a PBE+U-relaxed structure.

Main lines, by angle (2θ from 5° to 70°):
- 2θ = 17.94°, I 0.9, hkl 1 1 0
- 2θ = 36.15°, I 36.3, hkl 0 2 1
- 2θ = 36.35°, I 35.8, hkl 2 2 0
- 2θ = 42.10°, I 100.0, hkl 2 0 1
- 2θ = 60.75°, I 9.8, hkl 0 0 2
- 2θ = 61.08°, I 38.5, hkl 2 4 1
- 2θ = 61.29°, I 9.5, hkl 4 0 0

Cell and atoms:
Lattice parameters (Å, degrees): 6.050 8.574 3.049 90.00 90.00 90.00
Space group Cmmm (No. 65)
Unique sites:
Mn (0.000, 0.000, 0.000) (multiplicity 2)
Ni (0.000, 0.500, 0.000) (multiplicity 2)
Ni (0.250, 0.250, 0.500) (multiplicity 4)
O (0.000, 0.256, 0.000) (multiplicity 4)
O (0.240, 0.500, 0.500) (multiplicity 4)

Record 5
Ca2TiCrO6: theoretical powder XRD pattern (Cu Kα X-rays), based on a PBE+U-relaxed structure.

Main lines, by angle (2θ from 5° to 70°):
- 2θ = 23.17°, I 10.2, hkl 1 1 -1
- 2θ = 32.81°, I 20.1, hkl 0 2 0
- 2θ = 33.17°, I 100.0, hkl 1 1 1
- 2θ = 47.36°, I 35.3, hkl 2 2 -2
- 2θ = 47.86°, I 18.2, hkl 0 0 4
- 2θ = 58.80°, I 12.7, hkl 1 3 1
- 2θ = 59.23°, I 18.8, hkl 3 1 -1
- 2θ = 59.36°, I 13.9, hkl 3 1 -5
- 2θ = 69.53°, I 7.6, hkl 2 2 2
- 2θ = 69.69°, I 11.2, hkl 2 2 -6

Cell and atoms:
Lattice parameters (Å, degrees): 5.399 5.459 9.310 90.00 125.27 90.00
Space group P2_1/c (No. 14)
Unique sites:
Ca (0.241, 0.039, 0.250) (multiplicity 4)
Ti (0.000, 0.000, 0.500) (multiplicity 2)
Cr (0.500, 0.000, 0.000) (multiplicity 2)
O (0.169, 0.215, 0.959) (multiplicity 4)
O (0.255, 0.716, 0.961) (multiplicity 4)
O (0.328, 0.017, 0.753) (multiplicity 4)